Simulated powder diffractogram of La3Ga8Hg3 for Cu Kα, from a crystal structure in Alexandria, relaxed with GGA-PBE.
Lines closer than 0.1° are merged.

Structure:
Unit cell a=8.927 b=8.927 c=8.927 alpha=151.29 beta=110.70 gamma=76.67
Fractional coordinates of all 14 atoms:
La (0.000, 0.000, 0.000)
La (0.318, 0.318, 0.000)
La (0.682, 0.682, 0.000)
Ga (0.040, 0.665, 0.374)
Ga (0.110, 0.842, 0.268)
Ga (0.291, 0.665, 0.626)
Ga (0.426, 0.158, 0.268)
Ga (0.574, 0.842, 0.732)
Ga (0.709, 0.335, 0.374)
Ga (0.890, 0.158, 0.732)
Ga (0.960, 0.335, 0.626)
Hg (0.277, 0.500, 0.777)
Hg (0.500, 0.000, 0.500)
Hg (0.723, 0.500, 0.223)

Most intense lines, 2θ from 10° to 90°, most intense first:
33.00°, I 100
38.57°, I 25
40.77°, I 23
27.48°, I 20
35.78°, I 17
69.28°, I 17
57.37°, I 16
66.28°, I 13
12.64°, I 12
62.00°, I 11